No. 1
This entry pairs a crystal structure of CaGaBRu2 with its computed powder XRD pattern. Radiation: a wavelength of 1.5418 Å. Structure: a structure optimized by DFT (GGA-PBE).
No peak broadening, texture or thermal motion is included.

Structure:
abc: 4.154 4.154 4.581
angles: 90.00 90.00 90.00
Sites, in units of the cell vectors:
Ca1 0.000 0.000 0.000
Ga1 0.500 0.500 0.000
B1 0.000 0.000 0.500
Ru1 0.000 0.500 0.500
Ru2 0.500 0.000 0.500

Largest 6 diffraction maxima, by angle, 10° ≤ 2θ ≤ 90°:
| 2θ/deg | d [Å] | Rel. int. |
| --- | --- | --- |
| 36.34 | 2.473 | 100 |
| 39.34 | 2.290 | 22 |
| 43.58 | 2.077 | 33 |
| 60.14 | 1.538 | 24 |
| 69.37 | 1.355 | 14 |
| 75.26 | 1.263 | 22 |

***

No. 2
This entry pairs a crystal structure of CaGaSn2B with its computed powder XRD pattern. Radiation: a wavelength of 1.5418 Å. Structure: a structure optimized by DFT (GGA-PBE).
No peak broadening, texture or thermal motion is included.

Structure:
abc: 5.196 5.196 5.576
angles: 90.00 90.00 90.00
Sites, in units of the cell vectors:
Ca1 0.000 0.000 0.000
Ga1 0.000 0.000 0.500
Sn1 0.000 0.500 0.500
Sn2 0.500 0.000 0.500
B1 0.500 0.500 0.000

Largest 6 diffraction maxima, by angle, 10° ≤ 2θ ≤ 90°:
| 2θ/deg | d [Å] | Rel. int. |
| --- | --- | --- |
| 15.89 | 5.576 | 100 |
| 29.11 | 3.068 | 68 |
| 32.10 | 2.788 | 37 |
| 34.53 | 2.598 | 60 |
| 38.22 | 2.355 | 49 |
| 47.86 | 1.901 | 48 |

***

No. 3
This entry pairs a crystal structure of Ca4GdB3O10 with its computed powder XRD pattern. Radiation: a wavelength of 1.5418 Å. Structure: a structure optimized by DFT (GGA-PBE).
No peak broadening, texture or thermal motion is included.

Structure:
abc: 9.058 9.058 3.581
angles: 95.03 95.03 126.49
Sites, in units of the cell vectors:
Ca1 0.113 0.887 0.000
Ca2 0.197 0.559 0.669
Ca3 0.559 0.197 0.669
Ca4 0.887 0.113 0.000
Gd1 0.640 0.640 0.324
B1 0.266 0.266 0.626
B2 0.498 0.888 0.248
B3 0.888 0.498 0.248
O1 0.023 0.677 0.445
O2 0.106 0.255 0.579
O3 0.255 0.106 0.579
O4 0.405 0.946 0.058
O5 0.412 0.699 0.245
O6 0.440 0.440 0.719
O7 0.677 0.023 0.445
O8 0.699 0.412 0.245
O9 0.813 0.813 0.904
O10 0.946 0.405 0.058

Largest 6 diffraction maxima, by angle, 10° ≤ 2θ ≤ 90°:
| 2θ/deg | d [Å] | Rel. int. |
| --- | --- | --- |
| 12.34 | 7.171 | 100 |
| 19.86 | 4.471 | 68 |
| 24.83 | 3.586 | 52 |
| 29.79 | 2.999 | 68 |
| 30.22 | 2.957 | 82 |
| 30.42 | 2.938 | 64 |

***

No. 4
This entry pairs a crystal structure of CaB12H12 with its computed powder XRD pattern. Radiation: a wavelength of 1.5418 Å. Structure: a structure optimized by DFT (GGA-PBE).
No peak broadening, texture or thermal motion is included.

Structure:
abc: 7.126 7.126 10.811
angles: 90.20 90.20 121.78
Sites, in units of the cell vectors:
Ca1 0.170 0.830 0.750
Ca2 0.830 0.170 0.250
B1 0.034 0.132 0.813
B2 0.067 0.251 0.663
B3 0.067 0.394 0.799
B4 0.079 0.610 0.335
B5 0.126 0.799 0.095
B6 0.132 0.034 0.313
B7 0.196 0.637 0.187
B8 0.201 0.874 0.405
B9 0.251 0.067 0.163
B10 0.363 0.804 0.313
B11 0.390 0.921 0.165
B12 0.394 0.067 0.299
B13 0.606 0.933 0.701
B14 0.610 0.079 0.835
B15 0.637 0.196 0.687
B16 0.749 0.933 0.837
B17 0.799 0.126 0.595
B18 0.804 0.363 0.813
B19 0.868 0.966 0.687
B20 0.874 0.201 0.905
B21 0.921 0.390 0.665
B22 0.933 0.606 0.201
B23 0.933 0.749 0.337
B24 0.966 0.868 0.187
H1 0.020 0.448 0.398
H2 0.096 0.770 0.985
H3 0.117 0.180 0.360
H4 0.180 0.117 0.860
H5 0.217 0.494 0.143
H6 0.228 0.313 0.601
H7 0.230 0.904 0.515
H8 0.233 0.557 0.836
H9 0.313 0.228 0.101
H10 0.443 0.767 0.664
H11 0.448 0.020 0.898
H12 0.494 0.217 0.643
H13 0.506 0.783 0.357
H14 0.552 0.980 0.102
H15 0.557 0.233 0.336
H16 0.687 0.772 0.899
H17 0.767 0.443 0.164
H18 0.770 0.096 0.485
H19 0.772 0.687 0.399
H20 0.783 0.506 0.857
H21 0.820 0.883 0.140
H22 0.883 0.820 0.640
H23 0.904 0.230 0.015
H24 0.980 0.552 0.602

Largest 6 diffraction maxima, by angle, 10° ≤ 2θ ≤ 90°:
| 2θ/deg | d [Å] | Rel. int. |
| --- | --- | --- |
| 14.22 | 6.226 | 48 |
| 14.62 | 6.058 | 88 |
| 16.40 | 5.405 | 100 |
| 25.00 | 3.561 | 16 |
| 30.59 | 2.923 | 13 |
| 39.35 | 2.290 | 12 |

***

No. 5
This entry pairs a crystal structure of CaB2H8 with its computed powder XRD pattern. Radiation: a wavelength of 1.5418 Å. Structure: a structure optimized by DFT (GGA-PBE).
No peak broadening, texture or thermal motion is included.

Structure:
abc: 6.750 6.750 4.356
angles: 90.00 90.00 90.00
Sites, in units of the cell vectors:
Ca1 0.000 0.500 0.250
Ca2 0.500 0.000 0.750
B1 0.184 0.715 0.750
B2 0.285 0.184 0.250
B3 0.715 0.816 0.250
B4 0.816 0.285 0.750
H1 0.009 0.669 0.749
H2 0.105 0.179 0.248
H3 0.179 0.895 0.752
H4 0.270 0.652 0.521
H5 0.271 0.650 0.976
H6 0.331 0.009 0.251
H7 0.348 0.270 0.479
H8 0.350 0.271 0.024
H9 0.650 0.729 0.024
H10 0.652 0.730 0.479
H11 0.669 0.991 0.251
H12 0.729 0.350 0.976
H13 0.730 0.348 0.521
H14 0.821 0.105 0.752
H15 0.895 0.821 0.248
H16 0.991 0.331 0.749

Largest 6 diffraction maxima, by angle, 10° ≤ 2θ ≤ 90°:
| 2θ/deg | d [Å] | Rel. int. |
| --- | --- | --- |
| 18.59 | 4.773 | 100 |
| 24.32 | 3.660 | 62 |
| 36.21 | 2.481 | 73 |
| 37.70 | 2.386 | 21 |
| 42.35 | 2.134 | 17 |
| 45.37 | 1.999 | 26 |

***

No. 6
This entry pairs a crystal structure of CaB2H8 with its computed powder XRD pattern. Radiation: a wavelength of 1.5418 Å. Structure: a structure optimized by DFT (GGA-PBE).
No peak broadening, texture or thermal motion is included.

Structure:
abc: 7.596 7.596 7.596
angles: 134.90 134.90 65.69
Sites, in units of the cell vectors:
Ca1 0.000 0.000 0.000
Ca2 0.750 0.250 0.500
B1 0.228 0.228 0.000
B2 0.522 0.022 0.500
B3 0.772 0.772 0.000
B4 0.978 0.478 0.500
H1 0.062 0.319 0.534
H2 0.069 0.312 0.034
H3 0.148 0.659 0.738
H4 0.160 0.170 0.762
H5 0.278 0.035 0.966
H6 0.341 0.080 0.490
H7 0.409 0.398 0.238
H8 0.472 0.938 0.257
H9 0.590 0.852 0.510
H10 0.602 0.840 0.010
H11 0.681 0.215 0.743
H12 0.688 0.722 0.757
H13 0.785 0.528 0.466
H14 0.830 0.591 0.990
H15 0.920 0.410 0.262
H16 0.965 0.931 0.243

Largest 6 diffraction maxima, by angle, 10° ≤ 2θ ≤ 90°:
| 2θ/deg | d [Å] | Rel. int. |
| --- | --- | --- |
| 16.73 | 5.300 | 100 |
| 25.93 | 3.436 | 17 |
| 27.96 | 3.191 | 22 |
| 30.69 | 2.913 | 35 |
| 35.15 | 2.553 | 27 |
| 42.00 | 2.151 | 24 |

***

No. 7
This entry pairs a crystal structure of CaB2H8 with its computed powder XRD pattern. Radiation: a wavelength of 1.5418 Å. Structure: a structure optimized by DFT (GGA-PBE).
No peak broadening, texture or thermal motion is included.

Structure:
abc: 7.789 7.442 5.713
angles: 71.24 64.77 43.99
Sites, in units of the cell vectors:
Ca1 0.125 0.125 0.125
Ca2 0.875 0.875 0.875
B1 0.100 0.100 0.650
B2 0.350 0.350 0.900
B3 0.650 0.650 0.100
B4 0.900 0.900 0.350
H1 0.027 0.282 0.496
H2 0.090 0.819 0.157
H3 0.157 0.434 0.090
H4 0.181 0.910 0.566
H5 0.282 0.027 0.695
H6 0.305 0.504 0.718
H7 0.434 0.157 0.819
H8 0.496 0.695 0.027
H9 0.504 0.305 0.973
H10 0.566 0.843 0.181
H11 0.695 0.496 0.282
H12 0.718 0.973 0.305
H13 0.819 0.090 0.434
H14 0.843 0.566 0.910
H15 0.910 0.181 0.843
H16 0.973 0.718 0.504

Largest 6 diffraction maxima, by angle, 10° ≤ 2θ ≤ 90°:
| 2θ/deg | d [Å] | Rel. int. |
| --- | --- | --- |
| 17.16 | 5.167 | 100 |
| 26.04 | 3.422 | 16 |
| 27.63 | 3.229 | 24 |
| 31.75 | 2.819 | 33 |
| 33.89 | 2.645 | 18 |
| 42.58 | 2.123 | 24 |

***

No. 8
This entry pairs a crystal structure of CaB4H12 with its computed powder XRD pattern. Radiation: a wavelength of 1.5418 Å. Structure: a structure optimized by DFT (GGA-PBE).
No peak broadening, texture or thermal motion is included.

Structure:
abc: 5.215 5.215 5.215
angles: 109.47 109.47 109.47
Sites, in units of the cell vectors:
Ca1 0.000 0.000 0.000
B1 0.000 0.000 0.500
B2 0.000 0.500 0.000
B3 0.500 0.000 0.000
B4 0.500 0.500 0.500
H1 0.000 0.257 0.743
H2 0.000 0.743 0.257
H3 0.257 0.000 0.743
H4 0.257 0.257 0.514
H5 0.257 0.514 0.257
H6 0.257 0.743 0.000
H7 0.486 0.743 0.743
H8 0.514 0.257 0.257
H9 0.743 0.000 0.257
H10 0.743 0.257 0.000
H11 0.743 0.486 0.743
H12 0.743 0.743 0.486

Largest 6 diffraction maxima, by angle, 10° ≤ 2θ ≤ 90°:
| 2θ/deg | d [Å] | Rel. int. |
| --- | --- | --- |
| 20.86 | 4.258 | 100 |
| 36.55 | 2.458 | 46 |
| 42.46 | 2.129 | 36 |
| 47.77 | 1.904 | 20 |
| 57.25 | 1.609 | 21 |
| 77.69 | 1.229 | 11 |